# LuBr3
Simulated X-ray diffraction stick pattern, Cu Kα, 1.54184 Å. Input: a DFT-relaxed cell (PBE, OQMD).
Peak positions follow from Bragg's law for the DFT cell and can differ from measured ones.

Main lines, in order of rising 2θ (2θ = 10–90°):
| h k l | Position (°2θ) | d [Å] | intensity |
| --- | --- | --- | --- |
| 1 0 1 | 15.4 | 5.757 | 63.2 |
| 1 1 0 | 19.1 | 4.648 | 99.7 |
| 1 1 3 | 29.6 | 3.022 | 93.0 |
| 2 1 3 | 38.1 | 2.364 | 100.0 |
| 2 2 0 | 38.7 | 2.324 | 51.0 |
| 3 0 3 | 47.4 | 1.919 | 65.4 |

Structure:
```
data_LuBr3
_chemical_formula_sum 'Lu4 Br12'
_cell_length_a 6.573
_cell_length_b 6.573
_cell_length_c 11.931
_cell_angle_alpha 90.00
_cell_angle_beta 90.00
_cell_angle_gamma 90.00
_symmetry_space_group_name_H-M 'P 42/m n m'
_symmetry_Int_Tables_number 136
_symmetry_space_group_name_Hall '-P 4n 2n'
loop_
_atom_site_label
_atom_site_fract_x
_atom_site_fract_y
_atom_site_fract_z
_atom_site_occupancy
Lu1 0.000 0.000 0.169 1
Br1 0.199 0.199 0.000 1
Br2 0.204 0.204 0.335 1
```

***

# Lu4OsBr4
Simulated X-ray diffraction stick pattern, Cu Kα, 1.54184 Å. Input: a DFT-relaxed cell (PBE, OQMD).
Peak positions follow from Bragg's law for the DFT cell and can differ from measured ones.

Main lines, in order of rising 2θ (2θ = 10–90°):
| h k l | Position (°2θ) | d [Å] | intensity |
| --- | --- | --- | --- |
| 1 1 0 | 10.1 | 8.768 | 100.0 |
| 0 0 2 | 27.7 | 3.219 | 12.8 |
| 4 2 -1 | 35.0 | 2.567 | 18.9 |
| 2 4 -1 | 35.3 | 2.544 | 34.3 |
| 2 4 1 | 35.4 | 2.533 | 13.8 |
| 1 3 2 | 36.3 | 2.477 | 17.6 |

Structure:
```
data_Lu4OsBr4
_chemical_formula_sum 'Lu16 Os4 Br16'
_cell_length_a 12.474
_cell_length_b 12.327
_cell_length_c 6.438
_cell_angle_alpha 90.00
_cell_angle_beta 90.87
_cell_angle_gamma 90.00
_symmetry_space_group_name_H-M 'C 1 2/c 1'
_symmetry_Int_Tables_number 15
_symmetry_space_group_name_Hall '-C 2yc'
loop_
_atom_site_label
_atom_site_fract_x
_atom_site_fract_y
_atom_site_fract_z
_atom_site_occupancy
Lu1 0.075 0.173 0.490 1
Lu2 0.172 0.075 0.009 1
Os1 0.000 0.006 0.750 1
Br1 0.119 0.303 0.095 1
Br2 0.195 0.388 0.597 1
```